Computed XRD peak list of Ta5NbTe12 for Cu Kα, 1.54184 Å, from a PBE-relaxed structure.
No peak broadening, texture or thermal motion is included.

Atomic structure:
```
Ta5NbTe12
1.0
3.193 -5.537 0.000
3.193 5.537 0.000
-0.043 0.000 14.856
Ta Nb Te
5 1 12
Direct
0.000 0.000 0.000
0.167 0.833 0.500
0.333 0.667 0.000
0.667 0.333 0.000
0.833 0.167 0.500
0.500 0.500 0.500
0.001 0.668 0.123
0.165 0.499 0.376
0.166 0.166 0.624
0.332 0.999 0.877
0.334 0.334 0.123
0.499 0.165 0.376
0.501 0.835 0.624
0.666 0.666 0.877
0.668 0.001 0.123
0.834 0.834 0.376
0.835 0.501 0.624
0.999 0.332 0.877
```

Main lines, in order of falling intensity (15 to 90 degrees two-theta):
d [Å]	2θ/deg	Rel. int.
2.935	30.45	100
2.685	33.37	99
2.176	41.49	52
1.830	49.83	50
3.122	28.59	34
1.957	46.39	28
1.468	63.36	23
2.418	37.19	21